Calculated powder diffractogram of YMg6AlO8 for Cu Ka, from DFT lattice parameters and positions (GGA-PBE).

Top 10 peaks for 2θ = 10–90°, in order of rising 2θ:
| two_theta | intensity |
| --- | --- |
| 20.02 | 16.0 |
| 22.31 | 27.5 |
| 30.15 | 14.6 |
| 34.76 | 36.9 |
| 39.68 | 48.8 |
| 40.69 | 100.0 |
| 58.14 | 55.7 |
| 58.90 | 29.4 |
| 70.25 | 15.9 |
| 73.38 | 25.3 |

Structural model:
a b c (Å): 4.435 4.435 9.085
angles (deg): 90.00 90.00 90.00
Space group P4/mmm (No. 123)
Asymmetric unit:
Y 0.000 0.000 0.000 (multiplicity 1)
Mg 0.000 0.000 0.500 (multiplicity 1)
Mg 0.000 0.500 0.270 (multiplicity 4)
Mg 0.500 0.500 0.500 (multiplicity 1)
Al 0.500 0.500 0.000 (multiplicity 1)
O 0.000 0.000 0.261 (multiplicity 2)
O 0.000 0.500 0.000 (multiplicity 2)
O 0.000 0.500 0.500 (multiplicity 2)
O 0.500 0.500 0.276 (multiplicity 2)

Calculated powder diffractogram of Rb3AsSe4 for Cu Ka, from DFT lattice parameters and positions (GGA-PBE).

Top 10 peaks for 2θ = 10–90°, in order of rising 2θ:
| two_theta | intensity |
| --- | --- |
| 14.57 | 38.6 |
| 24.74 | 36.3 |
| 26.79 | 51.6 |
| 27.21 | 36.9 |
| 28.52 | 43.5 |
| 29.52 | 100.0 |
| 30.76 | 33.9 |
| 35.25 | 41.1 |
| 47.36 | 37.4 |
| 53.01 | 29.4 |

Structural model:
a b c (Å): 9.843 11.515 10.427
angles (deg): 90.00 90.00 90.00
Space group Pnma (No. 62)
Asymmetric unit:
Rb 0.062 0.044 0.194 (multiplicity 8)
Rb 0.148 0.750 0.421 (multiplicity 4)
As 0.234 0.750 0.977 (multiplicity 4)
Se 0.024 0.750 0.090 (multiplicity 4)
Se 0.143 0.079 0.527 (multiplicity 8)
Se 0.187 0.750 0.755 (multiplicity 4)

Calculated powder diffractogram of MgZnS2 for Cu Ka, from DFT lattice parameters and positions (GGA-PBE).

Top 10 peaks for 2θ = 10–90°, in order of rising 2θ:
| two_theta | intensity |
| --- | --- |
| 15.92 | 16.5 |
| 22.56 | 12.0 |
| 27.73 | 100.0 |
| 36.04 | 5.9 |
| 39.63 | 5.9 |
| 46.08 | 65.9 |
| 54.63 | 40.2 |
| 67.21 | 9.9 |
| 74.18 | 15.3 |
| 85.35 | 20.3 |

Structural model:
a b c (Å): 3.941 3.941 5.568
angles (deg): 90.00 90.00 90.00
Space group P-4m2 (No. 115)
Asymmetric unit:
Mg 0.000 0.000 0.000 (multiplicity 1)
Zn 0.500 0.500 0.500 (multiplicity 1)
S 0.000 0.500 0.262 (multiplicity 2)

Calculated powder diffractogram of ZrAlW4 for Cu Ka, from DFT lattice parameters and positions (GGA-PBE).

Top 10 peaks for 2θ = 10–90°, in order of rising 2θ:
| two_theta | intensity |
| --- | --- |
| 20.34 | 68.7 |
| 39.53 | 100.0 |
| 41.36 | 77.1 |
| 48.14 | 26.1 |
| 52.77 | 17.5 |
| 63.98 | 32.6 |
| 70.45 | 32.5 |
| 74.20 | 12.8 |
| 83.91 | 11.6 |
| 85.11 | 30.1 |

Structural model:
a b c (Å): 7.561 7.561 7.561
angles (deg): 90.00 90.00 90.00
Space group F-43m (No. 216)
Asymmetric unit:
Zr 0.000 0.000 0.000 (multiplicity 4)
Al 0.250 0.250 0.750 (multiplicity 4)
W 0.124 0.124 0.376 (multiplicity 16)

Calculated powder diffractogram of HoMnSi for Cu Ka, from DFT lattice parameters and positions (GGA-PBE).

Top 10 peaks for 2θ = 10–90°, in order of rising 2θ:
| two_theta | intensity |
| --- | --- |
| 24.78 | 55.8 |
| 25.64 | 33.5 |
| 34.78 | 87.1 |
| 35.02 | 27.8 |
| 35.96 | 100.0 |
| 37.86 | 43.0 |
| 44.42 | 29.9 |
| 59.07 | 19.2 |
| 59.75 | 22.6 |
| 67.88 | 24.3 |

Structural model:
a b c (Å): 6.948 4.079 7.587
angles (deg): 90.00 90.00 90.00
Space group Pnma (No. 62)
Asymmetric unit:
Ho 0.011 0.250 0.185 (multiplicity 4)
Mn 0.138 0.250 0.557 (multiplicity 4)
Si 0.213 0.750 0.387 (multiplicity 4)

Calculated powder diffractogram of RbY2Cl7 for Cu Ka, from DFT lattice parameters and positions (GGA-PBE).

Top 10 peaks for 2θ = 10–90°, in order of rising 2θ:
| two_theta | intensity |
| --- | --- |
| 13.04 | 54.0 |
| 19.47 | 100.0 |
| 25.37 | 44.4 |
| 27.18 | 23.8 |
| 33.77 | 24.6 |
| 34.44 | 38.1 |
| 35.27 | 23.1 |
| 36.81 | 47.4 |
| 38.74 | 40.9 |
| 41.51 | 27.7 |

Structural model:
a b c (Å): 13.581 7.027 12.734
angles (deg): 90.00 90.00 90.00
Space group Pnma (No. 62)
Asymmetric unit:
Rb 0.041 0.250 0.196 (multiplicity 4)
Y 0.237 0.250 0.540 (multiplicity 4)
Y 0.250 0.250 0.843 (multiplicity 4)
Cl 0.111 0.750 0.188 (multiplicity 4)
Cl 0.124 0.011 0.422 (multiplicity 8)
Cl 0.134 0.009 0.960 (multiplicity 8)
Cl 0.176 0.010 0.693 (multiplicity 8)